Structure and calculated XRD peak list of Ga13Mo4 (a structure optimized by DFT (PBE); Cu Kα (λ = 1.5418 Å)).
No peak broadening, texture or thermal motion is included.

Principal peaks in the range 15 to 90 degrees two-theta, low angle first:
2θ/deg	I_rel	hkl
27.61	11	3 1 -1
32.89	12	3 1 1
37.63	24	6 0 1
40.41	11	5 1 1
40.96	100	1 1 -3
41.13	97	7 1 -2
42.63	16	4 0 -4
47.61	36	0 2 0
84.05	11	1 3 -3
84.17	12	7 3 -2

```
data_Ga13Mo4
_chemical_formula_sum 'Ga26 Mo8'
_cell_length_a 19.3049
_cell_length_b 3.8201
_cell_length_c 8.4834
_cell_angle_alpha 90.00
_cell_angle_beta 115.64
_cell_angle_gamma 90.00
_space_group_name_H-M_alt 'C 1 2/m 1'
_space_group_IT_number 12
_space_group_name_Hall '-C 2y'
loop_
_atom_site_label
_atom_site_fract_x
_atom_site_fract_y
_atom_site_fract_z
Ga1 0.0000 0.0000 0.0000
Ga2 0.0791 0.5000 0.5683
Ga3 0.0926 0.0000 0.7969
Ga4 0.0936 0.0000 0.3810
Ga5 0.1310 0.5000 0.1483
Ga6 0.2024 0.5000 0.9322
Ga7 0.2284 0.0000 0.3877
Mo1 0.0027 0.5000 0.8047
Mo2 0.2055 0.0000 0.7074
```